Record 1
# CsAlSnO4
Calculated X-ray diffraction stick pattern, copper Kα. Input: a structure optimized by DFT (PBE).

Principal peaks in the range 2θ from 10° to 90°, by intensity:
| 2theta | Rel. int. |
| --- | --- |
| 27.60 | 100 |
| 25.48 | 91 |
| 25.05 | 85 |
| 31.46 | 55 |
| 43.84 | 43 |
| 11.27 | 40 |
| 20.03 | 30 |
| 64.67 | 26 |
| 51.57 | 26 |
| 22.65 | 25 |
| 37.95 | 24 |
| 52.50 | 23 |

Structural model:
abc: 5.477 5.687 7.856
angles: 90.00 91.64 90.00
Fractional positions:
Cs: 0.246 0.250 0.102
Cs: 0.754 0.750 0.898
Al: 0.343 0.250 0.637
Al: 0.657 0.750 0.363
Sn: 0.178 0.750 0.466
Sn: 0.822 0.250 0.534
O: 0.109 0.023 0.648
O: 0.109 0.477 0.648
O: 0.380 0.750 0.241
O: 0.470 0.250 0.433
O: 0.530 0.750 0.567
O: 0.620 0.250 0.759
O: 0.891 0.523 0.352
O: 0.891 0.977 0.352

Record 2
# Tb3Nd2Ag3
Calculated X-ray diffraction stick pattern, copper Kα. Input: a structure optimized by DFT (PBE).

Principal peaks in the range 2θ from 10° to 90°, by intensity:
| 2theta | Rel. int. |
| --- | --- |
| 33.60 | 100 |
| 33.78 | 27 |
| 32.81 | 20 |
| 60.31 | 19 |
| 47.80 | 14 |
| 60.57 | 10 |
| 48.69 | 10 |
| 59.07 | 9 |
| 70.62 | 9 |
| 81.19 | 8 |
| 59.96 | 7 |
| 26.43 | 6 |

Structural model:
abc: 3.740 5.307 21.840
angles: 90.00 90.00 90.00
Fractional positions:
Tb: 0.000 0.000 0.000
Tb: 0.000 0.500 0.118
Tb: 0.000 0.500 0.882
Tb: 0.500 0.000 0.382
Tb: 0.500 0.000 0.618
Tb: 0.500 0.500 0.500
Nd: 0.000 0.000 0.231
Nd: 0.000 0.000 0.769
Nd: 0.500 0.500 0.269
Nd: 0.500 0.500 0.731
Ag: 0.000 0.000 0.500
Ag: 0.000 0.500 0.387
Ag: 0.000 0.500 0.613
Ag: 0.500 0.000 0.113
Ag: 0.500 0.000 0.887
Ag: 0.500 0.500 0.000

Record 3
# K2CaMg2Tl5
Calculated X-ray diffraction stick pattern, copper Kα. Input: a structure optimized by DFT (PBE).

Principal peaks in the range 2θ from 10° to 90°, by intensity:
| 2theta | Rel. int. |
| --- | --- |
| 31.85 | 100 |
| 22.39 | 93 |
| 29.27 | 60 |
| 30.16 | 43 |
| 34.22 | 41 |
| 37.17 | 38 |
| 51.37 | 36 |
| 56.72 | 34 |
| 25.53 | 26 |
| 55.24 | 20 |
| 36.45 | 19 |
| 15.75 | 18 |

Structural model:
abc: 12.581 12.581 3.967
angles: 90.00 90.00 90.00
Fractional positions:
K: 0.176 0.324 0.000
K: 0.324 0.824 0.000
K: 0.676 0.176 0.000
K: 0.824 0.676 0.000
Ca: 0.000 0.000 0.000
Ca: 0.500 0.500 0.000
Mg: 0.126 0.626 0.000
Mg: 0.374 0.126 0.000
Mg: 0.626 0.874 0.000
Mg: 0.874 0.374 0.000
Tl: 0.000 0.500 0.500
Tl: 0.060 0.798 0.500
Tl: 0.202 0.060 0.500
Tl: 0.298 0.560 0.500
Tl: 0.440 0.298 0.500
Tl: 0.500 0.000 0.500
Tl: 0.560 0.702 0.500
Tl: 0.702 0.440 0.500
Tl: 0.798 0.940 0.500
Tl: 0.940 0.202 0.500

Copy entry 3 word for word.
# K2CaMg2Tl5
Calculated X-ray diffraction stick pattern, copper Kα. Input: a structure optimized by DFT (PBE).

Principal peaks in the range 2θ from 10° to 90°, by intensity:
| 2theta | Rel. int. |
| --- | --- |
| 31.85 | 100 |
| 22.39 | 93 |
| 29.27 | 60 |
| 30.16 | 43 |
| 34.22 | 41 |
| 37.17 | 38 |
| 51.37 | 36 |
| 56.72 | 34 |
| 25.53 | 26 |
| 55.24 | 20 |
| 36.45 | 19 |
| 15.75 | 18 |

Structural model:
abc: 12.581 12.581 3.967
angles: 90.00 90.00 90.00
Fractional positions:
K: 0.176 0.324 0.000
K: 0.324 0.824 0.000
K: 0.676 0.176 0.000
K: 0.824 0.676 0.000
Ca: 0.000 0.000 0.000
Ca: 0.500 0.500 0.000
Mg: 0.126 0.626 0.000
Mg: 0.374 0.126 0.000
Mg: 0.626 0.874 0.000
Mg: 0.874 0.374 0.000
Tl: 0.000 0.500 0.500
Tl: 0.060 0.798 0.500
Tl: 0.202 0.060 0.500
Tl: 0.298 0.560 0.500
Tl: 0.440 0.298 0.500
Tl: 0.500 0.000 0.500
Tl: 0.560 0.702 0.500
Tl: 0.702 0.440 0.500
Tl: 0.798 0.940 0.500
Tl: 0.940 0.202 0.500

Q: Which formula does entry 3 have?
A: K2CaMg2Tl5

What did the third record say?
# K2CaMg2Tl5
Calculated X-ray diffraction stick pattern, copper Kα. Input: a structure optimized by DFT (PBE).

Principal peaks in the range 2θ from 10° to 90°, by intensity:
| 2theta | Rel. int. |
| --- | --- |
| 31.85 | 100 |
| 22.39 | 93 |
| 29.27 | 60 |
| 30.16 | 43 |
| 34.22 | 41 |
| 37.17 | 38 |
| 51.37 | 36 |
| 56.72 | 34 |
| 25.53 | 26 |
| 55.24 | 20 |
| 36.45 | 19 |
| 15.75 | 18 |

Structural model:
abc: 12.581 12.581 3.967
angles: 90.00 90.00 90.00
Fractional positions:
K: 0.176 0.324 0.000
K: 0.324 0.824 0.000
K: 0.676 0.176 0.000
K: 0.824 0.676 0.000
Ca: 0.000 0.000 0.000
Ca: 0.500 0.500 0.000
Mg: 0.126 0.626 0.000
Mg: 0.374 0.126 0.000
Mg: 0.626 0.874 0.000
Mg: 0.874 0.374 0.000
Tl: 0.000 0.500 0.500
Tl: 0.060 0.798 0.500
Tl: 0.202 0.060 0.500
Tl: 0.298 0.560 0.500
Tl: 0.440 0.298 0.500
Tl: 0.500 0.000 0.500
Tl: 0.560 0.702 0.500
Tl: 0.702 0.440 0.500
Tl: 0.798 0.940 0.500
Tl: 0.940 0.202 0.500